Ti6RhC: calculated PXRD pattern (a wavelength of 1.5418 Å), based on DFT lattice parameters and positions (GGA-PBE).
No peak broadening, texture or thermal motion is included.

Cell and atoms:
Cell: 4.7223 5.3019 5.3592 Å, 96.47 112.16 92.27°
Space group P-1 (No. 2)
Asymmetric unit:
Ti 0.0598 0.2924 0.1602
Ti 0.2284 0.8334 0.4670
Ti 0.3996 0.3780 0.7544
Rh 0.5000 0.0000 0.0000
C 0.0000 0.5000 0.5000

Most intense lines, 2θ = 10–80°, in order of rising 2θ:
| 2θ (°) | I_rel | (hkl) |
| --- | --- | --- |
| 21.43 | 16 | 1 0 -1 |
| 38.23 | 100 | 2 0 -1 |
| 38.44 | 45 | 1 -2 0 |
| 38.71 | 55 | 1 1 1 |
| 39.94 | 54 | -1 1 2 |
| 40.09 | 49 | 1 2 -1 |
| 52.92 | 16 | 2 -1 1 |
| 57.36 | 17 | 2 1 -3 |
| 58.39 | 15 | 0 3 1 |
| 68.54 | 16 | 3 1 0 |